Calculated powder XRD pattern
Compound: LiZnHgPt
Radiation: Cu Kα (λ = 1.5418 Å)
Structure: a PBE-relaxed structure
Intensities are scaled so that the largest is 100.

Most intense lines, 2θ = 10–90°, most intense first:
2theta  d (Å)  intensity  h k l
39.89  2.260  100  2 2 0
24.12  3.690  56  1 1 1
72.44  1.305  35  4 2 2
47.16  1.927  29  3 1 1
57.69  1.598  17  4 0 0
63.44  1.466  12  3 3 1

Cell and atoms:
```
data_LiZnHgPt
_cell_length_a 6.392
_cell_length_b 6.392
_cell_length_c 6.392
_cell_angle_alpha 90.00
_cell_angle_beta 90.00
_cell_angle_gamma 90.00
_symmetry_space_group_name_H-M 'F -4 3 m'
_symmetry_Int_Tables_number 216
_symmetry_space_group_name_Hall 'F -4 2 3'
loop_
_atom_site_label
_atom_site_fract_x
_atom_site_fract_y
_atom_site_fract_z
Li1 0.000 0.000 0.000
Zn1 0.250 0.250 0.750
Hg1 0.250 0.250 0.250
Pt1 0.000 0.000 0.500
```

***

Calculated powder XRD pattern
Compound: ZrAl2ZnAg
Radiation: Cu Kα (λ = 1.5418 Å)
Structure: a PBE-relaxed structure
Intensities are scaled so that the largest is 100.

Most intense lines, 2θ = 10–90°, most intense first:
2theta  d (Å)  intensity  h k l
26.97  3.306  100  1 1 0
18.98  4.675  87  1 0 0
38.51  2.338  85  2 0 0
51.88  1.763  69  2 0 2
33.40  2.683  63  0 0 2
43.44  2.083  54  1 1 2

Cell and atoms:
```
data_ZrAl2ZnAg
_cell_length_a 4.675
_cell_length_b 4.675
_cell_length_c 5.366
_cell_angle_alpha 90.00
_cell_angle_beta 90.00
_cell_angle_gamma 90.00
_symmetry_space_group_name_H-M 'P 4/m m m'
_symmetry_Int_Tables_number 123
_symmetry_space_group_name_Hall '-P 4 2'
loop_
_atom_site_label
_atom_site_fract_x
_atom_site_fract_y
_atom_site_fract_z
Zr1 0.000 0.000 0.000
Al1 0.000 0.500 0.500
Zn1 0.500 0.500 0.000
Ag1 0.000 0.000 0.500
```

***

Calculated powder XRD pattern
Compound: Ti3WC
Radiation: Cu Kα (λ = 1.5418 Å)
Structure: a PBE-relaxed structure
Intensities are scaled so that the largest is 100.

Most intense lines, 2θ = 10–90°, most intense first:
2theta  d (Å)  intensity  h k l
37.30  2.411  100  1 1 1
30.27  2.952  56  1 1 0
43.34  2.088  55  2 0 0
21.28  4.175  45  1 0 0
75.52  1.259  36  3 1 1
62.96  1.476  34  2 2 0

Cell and atoms:
```
data_Ti3WC
_cell_length_a 4.175
_cell_length_b 4.175
_cell_length_c 4.175
_cell_angle_alpha 90.00
_cell_angle_beta 90.00
_cell_angle_gamma 90.00
_symmetry_space_group_name_H-M 'P m -3 m'
_symmetry_Int_Tables_number 221
_symmetry_space_group_name_Hall '-P 4 2 3'
loop_
_atom_site_label
_atom_site_fract_x
_atom_site_fract_y
_atom_site_fract_z
Ti1 0.000 0.000 0.500
W1 0.500 0.500 0.500
C1 0.000 0.000 0.000
```